Structure and calculated powder XRD pattern of KLi2WF8 (a DFT-relaxed cell (PBE+U, Alexandria); Cu Ka).
Peak positions follow from Bragg's law for the DFT cell and can differ from measured ones.

Crystal structure
Cell: 4.9567 4.9567 23.8034 Å, 90.00 90.00 120.00°
Space group R32 (No. 155, hexagonal axes)
Unique sites:
K (0.0000, 0.0000, 0.0000) (multiplicity 3)
Li (0.0000, 0.0000, 0.2691) (multiplicity 6)
W (0.0000, 0.0000, 0.5000) (multiplicity 3)
F (0.0000, 0.0000, 0.3421) (multiplicity 6)
F (0.0098, 0.3730, 0.1162) (multiplicity 18)

Top 10 peaks for 15 to 90 degrees two-theta, in order of falling intensity:
2theta  intensity  h k l
22.0  100.0  0 1 2
21.0  88.0  1 0 1
25.6  83.3  1 0 4
43.0  63.4  1 1 6
36.2  39.6  1 1 0
22.4  37.1  0 0 6
36.8  30.2  0 1 8
28.0  29.2  0 1 5
59.7  28.4  1 1 12
33.6  24.0  1 0 7